No. 1
Theoretical powder diffraction line list
Compound: Ba2BeAs
Radiation: Cu Kα X-rays
Structure: a crystal structure in Alexandria, relaxed with GGA-PBE
Intensities are scaled so that the largest is 100.

Atomic structure:
```
data_Ba2BeAs
_chemical_formula_sum 'Ba4 Be2 As2'
_cell_length_a 4.013
_cell_length_b 4.454
_cell_length_c 16.072
_cell_angle_alpha 90.00
_cell_angle_beta 90.00
_cell_angle_gamma 90.00
_symmetry_space_group_name_H-M 'A m m 2'
_symmetry_Int_Tables_number 38
_symmetry_space_group_name_Hall 'A 2 -2'
loop_
_atom_site_label
_atom_site_fract_x
_atom_site_fract_y
_atom_site_fract_z
Ba1 0.000 0.000 0.000
Ba2 0.500 0.000 0.256
Be1 0.500 0.000 0.599
As1 0.000 0.000 0.663
```

Most intense lines, 2θ = 5–70°, low angle first:
hkl	2θ/deg	I_rel
0 0 2	11.01	28
0 0 4	22.13	51
1 0 2	24.80	83
0 1 3	26.02	94
1 1 1	30.49	85
1 1 3	34.42	100
0 2 0	40.49	72
2 0 0	45.17	27
1 2 2	48.08	27
1 2 6	58.61	32

***

No. 2
Theoretical powder diffraction line list
Compound: BaBe6As4
Radiation: Cu Kα X-rays
Structure: a crystal structure in Alexandria, relaxed with GGA-PBE
Intensities are scaled so that the largest is 100.

Atomic structure:
```
data_BaBe6As4
_chemical_formula_sum 'Ba4 Be24 As16'
_cell_length_a 5.020
_cell_length_b 5.594
_cell_length_c 25.818
_cell_angle_alpha 90.00
_cell_angle_beta 90.00
_cell_angle_gamma 90.00
_symmetry_space_group_name_H-M 'F m m m'
_symmetry_Int_Tables_number 69
_symmetry_space_group_name_Hall '-F 2 2'
loop_
_atom_site_label
_atom_site_fract_x
_atom_site_fract_y
_atom_site_fract_z
Ba1 0.000 0.000 0.000
Be1 0.250 0.250 0.131
Be2 0.250 0.250 0.250
As1 0.000 0.000 0.194
As2 0.000 0.000 0.417
```

Most intense lines, 2θ = 5–70°, low angle first:
hkl	2θ/deg	I_rel
0 0 2	6.85	19
1 1 5	29.51	100
0 2 0	32.00	19
1 1 7	34.16	11
0 0 10	34.75	10
2 0 0	35.77	14
0 2 10	47.95	10
2 2 0	48.74	16
1 3 5	55.50	16
3 1 5	60.46	13